For CsPrTc2O7, a PBE-relaxed structure gives the calculated PXRD pattern in this record (Cu Kα).
No peak broadening, texture or thermal motion is included.

Principal peaks in the range 10° ≤ 2θ ≤ 80°, in order of rising 2θ:
| Position (°2θ) | I (rel.) |
| --- | --- |
| 27.95 | 100 |
| 32.22 | 42 |
| 33.52 | 7 |
| 40.16 | 15 |
| 46.21 | 24 |
| 46.58 | 15 |
| 54.88 | 30 |
| 60.73 | 9 |
| 62.85 | 8 |
| 70.43 | 9 |

Cell and atoms:
```
data_CsPrTc2O7
_chemical_formula_sum 'Cs1 Pr1 Tc2 O7'
_cell_length_a 3.9291
_cell_length_b 3.9291
_cell_length_c 10.9468
_cell_angle_alpha 90.00
_cell_angle_beta 90.00
_cell_angle_gamma 90.00
_space_group_name_H-M_alt 'P 1'
_space_group_IT_number 1
loop_
_space_group_symop_operation_xyz
'x,y,z'
loop_
_atom_site_label
_atom_site_type_symbol
_atom_site_fract_x
_atom_site_fract_y
_atom_site_fract_z
_atom_site_occupancy
Cs1 Cs 0.0000 0.0000 0.0000 1
Pr1 Pr 0.0000 0.0000 0.5000 1
Tc1 Tc 0.5000 0.5000 0.3081 1
Tc2 Tc 0.5000 0.5000 0.6919 1
O1 O 0.0000 0.5000 0.3413 1
O2 O 0.0000 0.5000 0.6587 1
O3 O 0.5000 0.0000 0.3413 1
O4 O 0.5000 0.0000 0.6587 1
O5 O 0.5000 0.5000 0.1458 1
O6 O 0.5000 0.5000 0.5000 1
O7 O 0.5000 0.5000 0.8542 1
```

=====

For Cs2PrU3O12, a PBE-relaxed structure gives the calculated PXRD pattern in this record (Cu Kα).
No peak broadening, texture or thermal motion is included.

Principal peaks in the range 10° ≤ 2θ ≤ 80°, in order of rising 2θ:
| Position (°2θ) | I (rel.) |
| --- | --- |
| 13.36 | 37 |
| 13.68 | 44 |
| 25.68 | 92 |
| 25.85 | 91 |
| 26.19 | 51 |
| 26.91 | 100 |
| 27.56 | 27 |
| 40.85 | 30 |
| 44.51 | 52 |
| 45.36 | 42 |

Cell and atoms:
```
data_Cs2PrU3O12
_chemical_formula_sum 'Cs2 Pr1 U3 O12'
_cell_length_a 8.0000
_cell_length_b 8.0000
_cell_length_c 8.0000
_cell_angle_alpha 61.18
_cell_angle_beta 61.18
_cell_angle_gamma 61.18
_space_group_name_H-M_alt 'P 1'
_space_group_IT_number 1
loop_
_space_group_symop_operation_xyz
'x,y,z'
loop_
_atom_site_label
_atom_site_type_symbol
_atom_site_fract_x
_atom_site_fract_y
_atom_site_fract_z
_atom_site_occupancy
Cs1 Cs 0.1189 0.1189 0.1189 1
Cs2 Cs 0.8811 0.8811 0.8811 1
Pr1 Pr 0.5000 0.5000 0.5000 1
U1 U 0.0000 0.5000 0.5000 1
U2 U 0.5000 0.0000 0.5000 1
U3 U 0.5000 0.5000 0.0000 1
O1 O 0.1475 0.5764 0.5764 1
O2 O 0.1958 0.1958 0.5733 1
O3 O 0.1958 0.5733 0.1958 1
O4 O 0.4236 0.4236 0.8525 1
O5 O 0.4236 0.8525 0.4236 1
O6 O 0.4267 0.8042 0.8042 1
O7 O 0.5733 0.1958 0.1958 1
O8 O 0.5764 0.1475 0.5764 1
O9 O 0.5764 0.5764 0.1475 1
O10 O 0.8042 0.4267 0.8042 1
O11 O 0.8042 0.8042 0.4267 1
O12 O 0.8525 0.4236 0.4236 1
```

=====

For Cs2PtO4, a PBE-relaxed structure gives the calculated PXRD pattern in this record (Cu Kα).
No peak broadening, texture or thermal motion is included.

Principal peaks in the range 10° ≤ 2θ ≤ 80°, in order of rising 2θ:
| Position (°2θ) | I (rel.) |
| --- | --- |
| 17.02 | 78 |
| 26.19 | 47 |
| 28.81 | 100 |
| 31.40 | 23 |
| 37.32 | 14 |
| 37.44 | 14 |
| 44.79 | 14 |
| 47.87 | 44 |
| 52.59 | 15 |
| 59.69 | 17 |

Cell and atoms:
```
data_Cs2PtO4
_chemical_formula_sum 'Cs2 Pt1 O4'
_cell_length_a 6.8051
_cell_length_b 6.2950
_cell_length_c 6.2837
_cell_angle_alpha 65.50
_cell_angle_beta 57.33
_cell_angle_gamma 57.17
_space_group_name_H-M_alt 'P 1'
_space_group_IT_number 1
loop_
_space_group_symop_operation_xyz
'x,y,z'
loop_
_atom_site_label
_atom_site_type_symbol
_atom_site_fract_x
_atom_site_fract_y
_atom_site_fract_z
_atom_site_occupancy
Cs1 Cs 0.2500 0.2500 0.2500 1
Cs2 Cs 0.7500 0.7500 0.7500 1
Pt1 Pt 0.0000 0.0000 0.0000 1
O1 O 0.1941 0.1941 0.8059 1
O2 O 0.1949 0.8051 0.1949 1
O3 O 0.8051 0.1949 0.8051 1
O4 O 0.8059 0.8059 0.1941 1
```

=====

For CsPt4O7, a PBE-relaxed structure gives the calculated PXRD pattern in this record (Cu Kα).
No peak broadening, texture or thermal motion is included.

Principal peaks in the range 10° ≤ 2θ ≤ 80°, in order of rising 2θ:
| Position (°2θ) | I (rel.) |
| --- | --- |
| 13.78 | 40 |
| 22.92 | 32 |
| 26.84 | 100 |
| 27.64 | 57 |
| 28.15 | 28 |
| 31.20 | 28 |
| 33.66 | 28 |
| 36.30 | 49 |
| 36.53 | 31 |
| 51.77 | 36 |

Cell and atoms:
```
data_CsPt4O7
_chemical_formula_sum 'Cs2 Pt8 O14'
_cell_length_a 12.8540
_cell_length_b 6.3395
_cell_length_c 4.9060
_cell_angle_alpha 90.00
_cell_angle_beta 90.00
_cell_angle_gamma 90.00
_space_group_name_H-M_alt 'P 1'
_space_group_IT_number 1
loop_
_space_group_symop_operation_xyz
'x,y,z'
loop_
_atom_site_label
_atom_site_type_symbol
_atom_site_fract_x
_atom_site_fract_y
_atom_site_fract_z
_atom_site_occupancy
Cs1 Cs 0.0000 0.1896 0.0000 1
Cs2 Cs 0.5000 0.8104 0.5000 1
Pt1 Pt 0.1244 0.6542 0.4584 1
Pt2 Pt 0.2378 0.1849 0.5961 1
Pt3 Pt 0.2622 0.8151 0.0961 1
Pt4 Pt 0.3756 0.3458 0.9584 1
Pt5 Pt 0.6244 0.3458 0.9584 1
Pt6 Pt 0.7378 0.8151 0.0961 1
Pt7 Pt 0.7622 0.1849 0.5961 1
Pt8 Pt 0.8756 0.6542 0.4584 1
O1 O 0.0000 0.6629 0.2164 1
O2 O 0.1138 0.3471 0.4827 1
O3 O 0.1577 0.9617 0.3453 1
O4 O 0.1791 0.6528 0.8172 1
O5 O 0.3209 0.3472 0.3172 1
O6 O 0.3423 0.0383 0.8453 1
O7 O 0.3862 0.6529 0.9827 1
O8 O 0.5000 0.3371 0.7164 1
O9 O 0.6138 0.6529 0.9827 1
O10 O 0.6577 0.0383 0.8453 1
O11 O 0.6791 0.3472 0.3172 1
O12 O 0.8209 0.6528 0.8172 1
O13 O 0.8423 0.9617 0.3453 1
O14 O 0.8862 0.3471 0.4827 1
```

=====

For Cs6PtO, a PBE-relaxed structure gives the calculated PXRD pattern in this record (Cu Kα).
No peak broadening, texture or thermal motion is included.

Principal peaks in the range 10° ≤ 2θ ≤ 80°, in order of rising 2θ:
| Position (°2θ) | I (rel.) |
| --- | --- |
| 10.93 | 100 |
| 16.54 | 23 |
| 22.31 | 11 |
| 25.29 | 66 |
| 27.62 | 9 |
| 31.51 | 35 |
| 33.73 | 16 |
| 38.74 | 10 |
| 44.09 | 16 |
| 44.79 | 13 |

Cell and atoms:
```
data_Cs6PtO
_chemical_formula_sum 'Cs6 Pt1 O1'
_cell_length_a 9.7489
_cell_length_b 9.7489
_cell_length_c 9.7489
_cell_angle_alpha 112.26
_cell_angle_beta 112.26
_cell_angle_gamma 112.26
_space_group_name_H-M_alt 'P 1'
_space_group_IT_number 1
loop_
_space_group_symop_operation_xyz
'x,y,z'
loop_
_atom_site_label
_atom_site_type_symbol
_atom_site_fract_x
_atom_site_fract_y
_atom_site_fract_z
_atom_site_occupancy
Cs1 Cs 0.1160 0.3641 0.3641 1
Cs2 Cs 0.3641 0.1160 0.3641 1
Cs3 Cs 0.3641 0.3641 0.1160 1
Cs4 Cs 0.6359 0.6359 0.8840 1
Cs5 Cs 0.6359 0.8840 0.6359 1
Cs6 Cs 0.8840 0.6359 0.6359 1
Pt1 Pt 0.0000 0.0000 0.0000 1
O1 O 0.5000 0.5000 0.5000 1
```

=====

For Cs5PtO, a PBE-relaxed structure gives the calculated PXRD pattern in this record (Cu Kα).
No peak broadening, texture or thermal motion is included.

Principal peaks in the range 10° ≤ 2θ ≤ 80°, in order of rising 2θ:
| Position (°2θ) | I (rel.) |
| --- | --- |
| 13.77 | 93 |
| 17.71 | 64 |
| 22.61 | 54 |
| 24.78 | 92 |
| 27.75 | 100 |
| 28.71 | 48 |
| 30.65 | 68 |
| 31.50 | 52 |
| 31.67 | 43 |
| 31.82 | 47 |

Cell and atoms:
```
data_Cs5PtO
_chemical_formula_sum 'Cs10 Pt2 O2'
_cell_length_a 8.5958
_cell_length_b 8.5958
_cell_length_c 11.6689
_cell_angle_alpha 110.16
_cell_angle_beta 110.16
_cell_angle_gamma 69.13
_space_group_name_H-M_alt 'P 1'
_space_group_IT_number 1
loop_
_space_group_symop_operation_xyz
'x,y,z'
loop_
_atom_site_label
_atom_site_type_symbol
_atom_site_fract_x
_atom_site_fract_y
_atom_site_fract_z
_atom_site_occupancy
Cs1 Cs 0.0813 0.9187 0.7500 1
Cs2 Cs 0.2101 0.2495 0.6188 1
Cs3 Cs 0.2495 0.2101 0.1188 1
Cs4 Cs 0.2834 0.6902 0.0287 1
Cs5 Cs 0.3098 0.7166 0.4713 1
Cs6 Cs 0.6902 0.2834 0.5287 1
Cs7 Cs 0.7166 0.3098 0.9713 1
Cs8 Cs 0.7505 0.7899 0.8812 1
Cs9 Cs 0.7899 0.7505 0.3812 1
Cs10 Cs 0.9187 0.0813 0.2500 1
Pt1 Pt 0.4314 0.5686 0.7500 1
Pt2 Pt 0.5686 0.4314 0.2500 1
O1 O 0.0000 0.0000 0.0000 1
O2 O 0.0000 0.0000 0.5000 1
```

=====

For Cs2U3PtO12, a PBE-relaxed structure gives the calculated PXRD pattern in this record (Cu Kα).
No peak broadening, texture or thermal motion is included.

Principal peaks in the range 10° ≤ 2θ ≤ 80°, in order of rising 2θ:
| Position (°2θ) | I (rel.) |
| --- | --- |
| 13.76 | 52 |
| 26.38 | 60 |
| 26.79 | 100 |
| 27.60 | 42 |
| 27.72 | 88 |
| 42.12 | 32 |
| 45.72 | 43 |
| 47.74 | 39 |
| 54.27 | 28 |
| 55.21 | 30 |

Cell and atoms:
```
data_Cs2U3PtO12
_chemical_formula_sum 'Cs2 U3 Pt1 O12'
_cell_length_a 7.6327
_cell_length_b 7.6327
_cell_length_c 7.6327
_cell_angle_alpha 62.67
_cell_angle_beta 62.67
_cell_angle_gamma 62.67
_space_group_name_H-M_alt 'P 1'
_space_group_IT_number 1
loop_
_space_group_symop_operation_xyz
'x,y,z'
loop_
_atom_site_label
_atom_site_type_symbol
_atom_site_fract_x
_atom_site_fract_y
_atom_site_fract_z
_atom_site_occupancy
Cs1 Cs 0.1282 0.1282 0.1282 1
Cs2 Cs 0.8718 0.8718 0.8718 1
U1 U 0.0000 0.5000 0.5000 1
U2 U 0.5000 0.0000 0.5000 1
U3 U 0.5000 0.5000 0.0000 1
Pt1 Pt 0.5000 0.5000 0.5000 1
O1 O 0.1801 0.1801 0.5593 1
O2 O 0.1801 0.5593 0.1801 1
O3 O 0.1969 0.5585 0.5585 1
O4 O 0.4407 0.8199 0.8199 1
O5 O 0.4415 0.4416 0.8031 1
O6 O 0.4415 0.8031 0.4415 1
O7 O 0.5585 0.1969 0.5585 1
O8 O 0.5585 0.5585 0.1969 1
O9 O 0.5593 0.1801 0.1801 1
O10 O 0.8031 0.4415 0.4415 1
O11 O 0.8199 0.4407 0.8199 1
O12 O 0.8199 0.8199 0.4407 1
```

=====

For CsUPtO6, a PBE-relaxed structure gives the calculated PXRD pattern in this record (Cu Kα).
No peak broadening, texture or thermal motion is included.

Principal peaks in the range 10° ≤ 2θ ≤ 80°, in order of rising 2θ:
| Position (°2θ) | I (rel.) |
| --- | --- |
| 13.85 | 39 |
| 14.65 | 47 |
| 26.89 | 100 |
| 27.21 | 40 |
| 27.64 | 44 |
| 27.91 | 73 |
| 28.17 | 71 |
| 29.56 | 68 |
| 47.78 | 69 |
| 55.41 | 25 |

Cell and atoms:
```
data_CsUPtO6
_chemical_formula_sum 'Cs2 U2 Pt2 O12'
_cell_length_a 7.6273
_cell_length_b 7.6273
_cell_length_c 7.6273
_cell_angle_alpha 122.86
_cell_angle_beta 117.33
_cell_angle_gamma 89.90
_space_group_name_H-M_alt 'P 1'
_space_group_IT_number 1
loop_
_space_group_symop_operation_xyz
'x,y,z'
loop_
_atom_site_label
_atom_site_type_symbol
_atom_site_fract_x
_atom_site_fract_y
_atom_site_fract_z
_atom_site_occupancy
Cs1 Cs 0.3701 0.1201 0.2500 1
Cs2 Cs 0.6299 0.8799 0.7500 1
U1 U 0.0000 0.5000 0.5000 1
U2 U 0.5000 0.5000 0.0000 1
Pt1 Pt 0.0000 0.0000 0.5000 1
Pt2 Pt 0.0000 0.5000 0.0000 1
O1 O 0.0551 0.4278 0.2327 1
O2 O 0.0551 0.8225 0.6273 1
O3 O 0.0674 0.8174 0.2500 1
O4 O 0.3049 0.1775 0.7327 1
O5 O 0.3049 0.5722 0.1273 1
O6 O 0.3234 0.5734 0.7500 1
O7 O 0.6766 0.4266 0.2500 1
O8 O 0.6951 0.4278 0.8727 1
O9 O 0.6951 0.8225 0.2673 1
O10 O 0.9326 0.1826 0.7500 1
O11 O 0.9449 0.1775 0.3727 1
O12 O 0.9449 0.5722 0.7673 1
```

=====

For Cs4PuO4, a PBE-relaxed structure gives the calculated PXRD pattern in this record (Cu Kα).
No peak broadening, texture or thermal motion is included.

Principal peaks in the range 10° ≤ 2θ ≤ 80°, in order of rising 2θ:
| Position (°2θ) | I (rel.) |
| --- | --- |
| 17.73 | 16 |
| 25.91 | 100 |
| 29.85 | 41 |
| 30.33 | 23 |
| 42.72 | 13 |
| 43.07 | 30 |
| 50.64 | 34 |
| 51.27 | 16 |
| 53.28 | 14 |
| 68.87 | 14 |

Cell and atoms:
```
data_Cs4PuO4
_chemical_formula_sum 'Cs4 Pu1 O4'
_cell_length_a 7.3137
_cell_length_b 7.3137
_cell_length_c 7.3137
_cell_angle_alpha 99.34
_cell_angle_beta 99.34
_cell_angle_gamma 132.48
_space_group_name_H-M_alt 'P 1'
_space_group_IT_number 1
loop_
_space_group_symop_operation_xyz
'x,y,z'
loop_
_atom_site_label
_atom_site_type_symbol
_atom_site_fract_x
_atom_site_fract_y
_atom_site_fract_z
_atom_site_occupancy
Cs1 Cs 0.1218 0.3089 0.4307 1
Cs2 Cs 0.3089 0.8782 0.1871 1
Cs3 Cs 0.6911 0.1218 0.8129 1
Cs4 Cs 0.8782 0.6911 0.5693 1
Pu1 Pu 0.5000 0.5000 0.0000 1
O1 O 0.2930 0.5685 0.8615 1
O2 O 0.4315 0.2930 0.7244 1
O3 O 0.5685 0.7070 0.2756 1
O4 O 0.7070 0.4315 0.1385 1
```

=====

For Cs4PuO4, a PBE-relaxed structure gives the calculated PXRD pattern in this record (Cu Kα).
No peak broadening, texture or thermal motion is included.

Principal peaks in the range 10° ≤ 2θ ≤ 80°, in order of rising 2θ:
| Position (°2θ) | I (rel.) |
| --- | --- |
| 15.23 | 32 |
| 18.79 | 45 |
| 24.10 | 100 |
| 26.22 | 65 |
| 30.74 | 32 |
| 30.88 | 96 |
| 40.73 | 46 |
| 41.27 | 26 |
| 49.08 | 25 |
| 54.75 | 34 |

Cell and atoms:
```
data_Cs4PuO4
_chemical_formula_sum 'Cs4 Pu1 O4'
_cell_length_a 7.5747
_cell_length_b 7.5747
_cell_length_c 7.5747
_cell_angle_alpha 127.69
_cell_angle_beta 127.69
_cell_angle_gamma 77.12
_space_group_name_H-M_alt 'P 1'
_space_group_IT_number 1
loop_
_space_group_symop_operation_xyz
'x,y,z'
loop_
_atom_site_label
_atom_site_type_symbol
_atom_site_fract_x
_atom_site_fract_y
_atom_site_fract_z
_atom_site_occupancy
Cs1 Cs 0.1579 0.1579 0.6137 1
Cs2 Cs 0.4558 0.8421 0.0000 1
Cs3 Cs 0.5442 0.5442 0.3863 1
Cs4 Cs 0.8421 0.4558 0.0000 1
Pu1 Pu 0.0000 0.0000 0.0000 1
O1 O 0.0756 0.7163 0.0000 1
O2 O 0.2837 0.2837 0.3593 1
O3 O 0.7163 0.0756 0.0000 1
O4 O 0.9244 0.9244 0.6407 1
```

=====

For Cs3PuO3, a PBE-relaxed structure gives the calculated PXRD pattern in this record (Cu Kα).
No peak broadening, texture or thermal motion is included.

Principal peaks in the range 10° ≤ 2θ ≤ 80°, in order of rising 2θ:
| Position (°2θ) | I (rel.) |
| --- | --- |
| 16.52 | 15 |
| 26.27 | 100 |
| 29.51 | 26 |
| 30.87 | 36 |
| 43.23 | 28 |
| 44.21 | 11 |
| 50.42 | 18 |
| 52.16 | 27 |
| 54.06 | 12 |
| 69.27 | 12 |

Cell and atoms:
```
data_Cs3PuO3
_chemical_formula_sum 'Cs12 Pu4 O12'
_cell_length_a 11.5759
_cell_length_b 11.6006
_cell_length_c 6.0532
_cell_angle_alpha 90.00
_cell_angle_beta 90.00
_cell_angle_gamma 90.00
_space_group_name_H-M_alt 'P 1'
_space_group_IT_number 1
loop_
_space_group_symop_operation_xyz
'x,y,z'
loop_
_atom_site_label
_atom_site_type_symbol
_atom_site_fract_x
_atom_site_fract_y
_atom_site_fract_z
_atom_site_occupancy
Cs1 Cs 0.1281 0.1276 0.0000 1
Cs2 Cs 0.1278 0.8717 0.5000 1
Cs3 Cs 0.1468 0.3526 0.5000 1
Cs4 Cs 0.3532 0.8526 0.0000 1
Cs5 Cs 0.3722 0.3717 0.0000 1
Cs6 Cs 0.3719 0.6276 0.5000 1
Cs7 Cs 0.6281 0.3724 0.5000 1
Cs8 Cs 0.6278 0.6283 0.0000 1
Cs9 Cs 0.6468 0.1474 0.0000 1
Cs10 Cs 0.8532 0.6474 0.5000 1
Cs11 Cs 0.8722 0.1283 0.5000 1
Cs12 Cs 0.8719 0.8724 0.0000 1
Pu1 Pu 0.1078 0.6076 0.0000 1
Pu2 Pu 0.3922 0.1076 0.5000 1
Pu3 Pu 0.6078 0.8924 0.5000 1
Pu4 Pu 0.8922 0.3924 0.0000 1
O1 O 0.0849 0.4153 0.0000 1
O2 O 0.1030 0.7883 0.0000 1
O3 O 0.2110 0.1028 0.5000 1
O4 O 0.2890 0.6028 0.0000 1
O5 O 0.3970 0.2883 0.5000 1
O6 O 0.4151 0.9153 0.5000 1
O7 O 0.5849 0.0847 0.5000 1
O8 O 0.6030 0.7117 0.5000 1
O9 O 0.7110 0.3972 0.0000 1
O10 O 0.7890 0.8972 0.5000 1
O11 O 0.8970 0.2117 0.0000 1
O12 O 0.9151 0.5847 0.0000 1
```

=====

For CsPu3O9, a PBE-relaxed structure gives the calculated PXRD pattern in this record (Cu Kα).
No peak broadening, texture or thermal motion is included.

Principal peaks in the range 10° ≤ 2θ ≤ 80°, in order of rising 2θ:
| Position (°2θ) | I (rel.) |
| --- | --- |
| 21.45 | 28 |
| 25.05 | 39 |
| 25.75 | 100 |
| 31.10 | 23 |
| 33.75 | 33 |
| 45.40 | 26 |
| 50.74 | 15 |
| 51.41 | 31 |
| 52.93 | 16 |
| 64.84 | 18 |

Cell and atoms:
```
data_CsPu3O9
_chemical_formula_sum 'Cs1 Pu3 O9'
_cell_length_a 7.9902
_cell_length_b 7.9902
_cell_length_c 4.1432
_cell_angle_alpha 90.00
_cell_angle_beta 90.00
_cell_angle_gamma 120.00
_space_group_name_H-M_alt 'P 1'
_space_group_IT_number 1
loop_
_space_group_symop_operation_xyz
'x,y,z'
loop_
_atom_site_label
_atom_site_type_symbol
_atom_site_fract_x
_atom_site_fract_y
_atom_site_fract_z
_atom_site_occupancy
Cs1 Cs 0.0000 0.0000 0.0000 1
Pu1 Pu 0.0000 0.5000 0.5000 1
Pu2 Pu 0.5000 0.0000 0.5000 1
Pu3 Pu 0.5000 0.5000 0.5000 1
O1 O 0.0000 0.5000 0.0000 1
O2 O 0.2063 0.4126 0.5000 1
O3 O 0.2063 0.7937 0.5000 1
O4 O 0.4126 0.2063 0.5000 1
O5 O 0.5000 0.0000 0.0000 1
O6 O 0.5000 0.5000 0.0000 1
O7 O 0.5874 0.7937 0.5000 1
O8 O 0.7937 0.2063 0.5000 1
O9 O 0.7937 0.5874 0.5000 1
```